Calculated powder diffractogram of CrMo2O8 for Cu Kα, 1.54184 Å, from a crystal structure in Alexandria, relaxed with GGA+U.
Lines closer than 0.1° are merged.

Top 6 peaks for 10° ≤ 2θ ≤ 90°, sorted by position:
Position (°2θ)	intensity
17.22	43
23.62	34
24.13	73
24.27	100
36.35	26
36.86	29

Structure:
```
data_CrMo2O8
_chemical_formula_sum 'Cr4 Mo8 O32'
_cell_length_a 15.1205
_cell_length_b 5.5376
_cell_length_c 10.2979
_cell_angle_alpha 90.00
_cell_angle_beta 132.23
_cell_angle_gamma 90.00
_symmetry_space_group_name_H-M 'C 1 2/c 1'
_symmetry_Int_Tables_number 15
loop_
_symmetry_equiv_pos_as_xyz
'x,y,z'
'-x,-y,-z'
'-x,y,-z+1/2'
'x,-y,z+1/2'
'x+1/2,y+1/2,z'
'-x+1/2,-y+1/2,-z'
'-x+1/2,y+1/2,-z+1/2'
'x+1/2,-y+1/2,z+1/2'
loop_
_atom_site_label
_atom_site_type_symbol
_atom_site_fract_x
_atom_site_fract_y
_atom_site_fract_z
Cr1 Cr 0.0000 0.0519 0.2500
Mo1 Mo 0.1348 0.2394 0.6007
O1 O 0.0055 0.3122 0.1233
O2 O 0.0657 0.1643 0.6892
O3 O 0.1596 0.0411 0.4825
O4 O 0.2219 0.4897 0.1867
```